For NaNi2H3S2O10, a PBE+U-relaxed structure gives the calculated X-ray powder pattern in this record (λ = 1.5418 Å (Cu Kα)).

Largest 12 diffraction maxima, in order of rising 2θ, 2θ from 10° to 80°:
| two_theta | I_rel | h k l |
| --- | --- | --- |
| 13.23 | 100 | 0 0 1 |
| 18.10 | 28 | 1 1 0 |
| 26.62 | 78 | 2 0 -2 |
| 28.00 | 45 | 1 1 -2 |
| 30.93 | 66 | 2 0 1 |
| 31.51 | 56 | 0 2 1 |
| 35.50 | 73 | 2 2 -1 |
| 36.31 | 21 | 1 1 2 |
| 39.37 | 45 | 2 2 -2 |
| 42.30 | 28 | 2 0 2 |
| 54.85 | 28 | 4 0 -4 |
| 55.70 | 31 | 4 2 -3 |

Structure:
```
data_NaNi2H3S2O10
_chemical_formula_sum 'Na2 Ni4 H6 S4 O20'
_cell_length_a 8.6838
_cell_length_b 6.2707
_cell_length_c 7.4011
_cell_angle_alpha 90.00
_cell_angle_beta 115.27
_cell_angle_gamma 90.00
_symmetry_space_group_name_H-M 'C 1 m 1'
_symmetry_Int_Tables_number 8
_symmetry_space_group_name_Hall 'C -2y'
loop_
_atom_site_label
_atom_site_type_symbol
_atom_site_fract_x
_atom_site_fract_y
_atom_site_fract_z
_atom_site_occupancy
Na1 Na 0.0000 0.0000 0.0000 1
Ni1 Ni 0.2499 0.2501 0.5001 1
H1 H 0.0005 0.0000 0.5008 1
H2 H 0.1929 0.0000 0.7321 1
H3 H 0.3077 0.5000 0.2688 1
S1 S 0.0928 0.5000 0.7928 1
S2 S 0.4072 0.0000 0.2077 1
O1 O 0.0151 0.3042 0.2526 1
O2 O 0.1534 0.0000 0.5856 1
O3 O 0.1886 0.5000 0.6599 1
O4 O 0.2209 0.5000 0.0000 1
O5 O 0.2791 0.0000 0.0004 1
O6 O 0.3113 0.0000 0.3404 1
O7 O 0.3468 0.5000 0.4152 1
O8 O 0.4849 0.1958 0.7479 1
```